Starting from a DFT-relaxed cell (GGA-PBE, OQMD), the X-ray powder pattern of PrYZn6 was calculated for Cu Kα (λ = 1.5418 Å).

Crystal structure
Lattice parameters (Å, degrees): 4.747 6.711 4.748 90.00 90.00 90.00
Fractional coordinates of all 8 atoms:
Pr 0.000 0.000 0.000
Y 0.500 0.500 0.494
Zn 0.000 0.259 0.501
Zn 0.000 0.500 0.999
Zn 0.000 0.741 0.501
Zn 0.500 0.000 0.496
Zn 0.500 0.259 0.993
Zn 0.500 0.741 0.993

The 10 most intense peaks (5° ≤ 2θ ≤ 70°), low angle first:
- hkl 1 0 0, 4.747 Å, I 1.1
- hkl 1 1 0, 3.876 Å, I 4.6
- hkl 0 2 0, 3.356 Å, I 2.4
- hkl 1 1 1, 3.002 Å, I 1.3
- hkl 2 0 0, 2.373 Å, I 100.0
- hkl 0 3 1, 2.024 Å, I 2.3
- hkl 2 0 2, 1.678 Å, I 16.6
- hkl 3 1 0, 1.540 Å, I 1.0
- hkl 1 4 1, 1.501 Å, I 1.0
- hkl 3 2 1, 1.370 Å, I 32.5